(1)
# Pr2Al2Au5
Computed powder diffraction line list, Cu Kα X-rays. Input: a cell relaxed with PBE.

Structural model:
```
data_Pr2Al2Au5
_symmetry_space_group_name_H-M 'P 4/m m m'
_symmetry_Int_Tables_number 123
_symmetry_space_group_name_Hall '-P 4 2'
_cell_length_a 4.7286
_cell_length_b 4.7286
_cell_length_c 8.7033
_cell_angle_alpha 90.00
_cell_angle_beta 90.00
_cell_angle_gamma 90.00
loop_
_atom_site_label
_atom_site_type_symbol
_atom_site_fract_x
_atom_site_fract_y
_atom_site_fract_z
Pr1 Pr 0.0000 0.0000 0.0000
Pr2 Pr 0.0000 0.0000 0.5000
Al1 Al 0.5000 0.5000 0.1516
Au1 Au 0.0000 0.5000 0.2651
Au2 Au 0.5000 0.5000 0.5000
```

Main lines, by angle (2θ from 10° to 80°):
2θ (°)  I_rel
10.16  14
33.81  100
38.06  42
41.20  8
41.50  13
54.92  15
57.57  20
66.07  29
70.83  15
71.12  11

---

(2)
# Mg4Te5
Computed powder diffraction line list, Cu Kα X-rays. Input: a cell relaxed with PBE.

Structural model:
```
data_Mg4Te5
_symmetry_space_group_name_H-M 'I 4/m m m'
_symmetry_Int_Tables_number 139
_symmetry_space_group_name_Hall '-I 4 2'
_cell_length_a 11.0079
_cell_length_b 11.0079
_cell_length_c 4.0055
_cell_angle_alpha 90.00
_cell_angle_beta 90.00
_cell_angle_gamma 90.00
loop_
_atom_site_label
_atom_site_type_symbol
_atom_site_fract_x
_atom_site_fract_y
_atom_site_fract_z
Mg1 Mg 0.0000 0.3209 0.0000
Te1 Te 0.0000 0.0000 0.0000
Te2 Te 0.1698 0.1698 0.5000
```

Main lines, by angle (2θ from 10° to 80°):
2θ (°)  I_rel
11.37  45
22.85  10
28.73  22
33.11  100
34.57  44
45.28  10
49.69  15
58.19  19
61.02  33
69.48  11

---

(3)
# NpCo4Rh
Computed powder diffraction line list, Cu Kα X-rays. Input: a cell relaxed with PBE.

Structural model:
```
data_NpCo4Rh
_symmetry_space_group_name_H-M 'F -4 3 m'
_symmetry_Int_Tables_number 216
_symmetry_space_group_name_Hall 'F -4 2 3'
_cell_length_a 6.8722
_cell_length_b 6.8722
_cell_length_c 6.8722
_cell_angle_alpha 90.00
_cell_angle_beta 90.00
_cell_angle_gamma 90.00
loop_
_atom_site_label
_atom_site_type_symbol
_atom_site_fract_x
_atom_site_fract_y
_atom_site_fract_z
Np1 Np 0.0000 0.0000 0.0000
Co1 Co 0.1239 0.1239 0.3761
Rh1 Rh 0.2500 0.2500 0.7500
```

Main lines, by angle (2θ from 10° to 80°):
2θ (°)  I_rel
22.41  26
25.93  11
37.00  65
43.69  100
45.73  16
58.55  7
60.22  5
66.67  24
71.31  31
78.78  21